Diffraction record for Ba2YWO6. The powder diffractogram is simulated, not measured: it uses a DFT-relaxed cell (PBE+U, the Materials Project) and Cu Kα (λ = 1.5418 Å).
Peak positions follow from Bragg's law for the DFT cell and can differ from measured ones.

Structural model:
```
data_Ba2YWO6
_chemical_formula_sum 'Ba8 Y4 W4 O24'
_symmetry_space_group_name_H-M 'P 1'
_symmetry_Int_Tables_number 1
_cell_length_a 8.5261
_cell_length_b 8.5261
_cell_length_c 8.5261
_cell_angle_alpha 90.00
_cell_angle_beta 90.00
_cell_angle_gamma 90.00
loop_
_symmetry_equiv_pos_as_xyz
'x,y,z'
loop_
_atom_site_label
_atom_site_type_symbol
_atom_site_fract_x
_atom_site_fract_y
_atom_site_fract_z
_atom_site_occupancy
Ba1 Ba 0.2500 0.2500 0.2500 1
Ba2 Ba 0.2500 0.2500 0.7500 1
Ba3 Ba 0.2500 0.7500 0.2500 1
Ba4 Ba 0.2500 0.7500 0.7500 1
Ba5 Ba 0.7500 0.2500 0.2500 1
Ba6 Ba 0.7500 0.2500 0.7500 1
Ba7 Ba 0.7500 0.7500 0.2500 1
Ba8 Ba 0.7500 0.7500 0.7500 1
Y1 Y 0.0000 0.0000 0.0000 1
Y2 Y 0.0000 0.5000 0.5000 1
Y3 Y 0.5000 0.0000 0.5000 1
Y4 Y 0.5000 0.5000 0.0000 1
W1 W 0.0000 0.0000 0.5000 1
W2 W 0.0000 0.5000 0.0000 1
W3 W 0.5000 0.0000 0.0000 1
W4 W 0.5000 0.5000 0.5000 1
O1 O 0.0128 0.2361 0.5165 1
O2 O 0.0128 0.2639 0.9835 1
O3 O 0.0165 0.5128 0.7639 1
O4 O 0.0165 0.9872 0.7361 1
O5 O 0.2361 0.5165 0.0128 1
O6 O 0.2361 0.9835 0.4872 1
O7 O 0.2639 0.5165 0.4872 1
O8 O 0.2639 0.9835 0.0128 1
O9 O 0.4835 0.5128 0.7361 1
O10 O 0.4835 0.9872 0.7639 1
O11 O 0.4872 0.2361 0.9835 1
O12 O 0.4872 0.2639 0.5165 1
O13 O 0.5128 0.7361 0.4835 1
O14 O 0.5128 0.7639 0.0165 1
O15 O 0.5165 0.0128 0.2361 1
O16 O 0.5165 0.4872 0.2639 1
O17 O 0.7361 0.0165 0.9872 1
O18 O 0.7361 0.4835 0.5128 1
O19 O 0.7639 0.0165 0.5128 1
O20 O 0.7639 0.4835 0.9872 1
O21 O 0.9835 0.0128 0.2639 1
O22 O 0.9835 0.4872 0.2361 1
O23 O 0.9872 0.7361 0.0165 1
O24 O 0.9872 0.7639 0.4835 1
```

Most intense lines, 10° ≤ 2θ ≤ 90°, sorted by position:
18.0°, I = 8.2
29.6°, I = 100.0
42.4°, I = 28.9
52.6°, I = 41.2
61.5°, I = 18.0
69.8°, I = 18.0
77.6°, I = 5.9
85.2°, I = 21.8